No. 1
Calculated XRD peak list
Compound: KCd2IrO5
Radiation: Cu Kα
Structure: the GGA-PBE geometry in Alexandria
Kinematic intensities with the Lorentz-polarization factor, no thermal factor.

Peak list (10 most intense, 2θ = 10–90°, by angle)
16.7 deg, I = 54.7; 29.9 deg, I = 28.1; 31.3 deg, I = 21.0; 32.4 deg, I = 100.0; 43.9 deg, I = 28.4; 45.7 deg, I = 15.1; 49.0 deg, I = 11.7; 54.7 deg, I = 22.9; 56.4 deg, I = 15.6; 67.8 deg, I = 14.2

```
data_KCd2IrO5
_cell_length_a 6.7091
_cell_length_b 6.7091
_cell_length_c 6.7091
_cell_angle_alpha 147.81
_cell_angle_beta 127.12
_cell_angle_gamma 63.27
_symmetry_space_group_name_H-M 'P 1'
_symmetry_Int_Tables_number 1
_symmetry_space_group_name_Hall 'P 1'
loop_
_atom_site_label
_atom_site_fract_x
_atom_site_fract_y
_atom_site_fract_z
_atom_site_occupancy
K1 0.0000 0.0000 0.0000 1
Cd1 0.2710 0.7710 0.5000 1
Cd2 0.7290 0.2290 0.5000 1
Ir1 0.5000 0.5000 0.0000 1
O1 0.1447 0.3634 0.7812 1
O2 0.4178 0.6366 0.7812 1
O3 0.5000 0.0000 0.5000 1
O4 0.5822 0.3634 0.2188 1
O5 0.8553 0.6366 0.2188 1
```

=====

No. 2
Calculated XRD peak list
Compound: AcSn2Hg4
Radiation: Cu Kα
Structure: the GGA-PBE geometry in Alexandria
Kinematic intensities with the Lorentz-polarization factor, no thermal factor.

Peak list (10 most intense, 2θ = 10–90°, by angle)
21.1 deg, I = 22.5; 31.5 deg, I = 94.8; 31.8 deg, I = 90.9; 32.3 deg, I = 83.9; 33.6 deg, I = 100.0; 34.8 deg, I = 99.3; 35.9 deg, I = 91.3; 45.4 deg, I = 36.0; 48.0 deg, I = 29.4; 50.2 deg, I = 27.4

```
data_AcSn2Hg4
_cell_length_a 5.0052
_cell_length_b 5.1815
_cell_length_c 8.8291
_cell_angle_alpha 104.38
_cell_angle_beta 92.05
_cell_angle_gamma 116.80
_symmetry_space_group_name_H-M 'P 1'
_symmetry_Int_Tables_number 1
_symmetry_space_group_name_Hall 'P 1'
loop_
_atom_site_label
_atom_site_fract_x
_atom_site_fract_y
_atom_site_fract_z
_atom_site_occupancy
Ac1 0.0000 0.0000 0.0000 1
Sn1 0.1493 0.2813 0.4272 1
Sn2 0.8507 0.7187 0.5728 1
Hg1 0.2671 0.5476 0.8046 1
Hg2 0.4202 0.8339 0.2567 1
Hg3 0.5798 0.1661 0.7433 1
Hg4 0.7329 0.4524 0.1954 1
```

=====

No. 3
Calculated XRD peak list
Compound: Np2BiS5
Radiation: Cu Kα
Structure: the GGA-PBE geometry in Alexandria
Kinematic intensities with the Lorentz-polarization factor, no thermal factor.

Peak list (10 most intense, 2θ = 10–90°, by angle)
23.3 deg, I = 63.7; 25.3 deg, I = 100.0; 26.6 deg, I = 68.9; 27.3 deg, I = 48.2; 36.1 deg, I = 69.0; 38.0 deg, I = 23.5; 42.1 deg, I = 35.0; 43.0 deg, I = 23.2; 46.2 deg, I = 36.0; 53.6 deg, I = 28.1

```
data_Np2BiS5
_cell_length_a 7.6483
_cell_length_b 11.8899
_cell_length_c 3.9163
_cell_angle_alpha 90.00
_cell_angle_beta 90.00
_cell_angle_gamma 90.00
_symmetry_space_group_name_H-M 'P 1'
_symmetry_Int_Tables_number 1
_symmetry_space_group_name_Hall 'P 1'
loop_
_atom_site_label
_atom_site_fract_x
_atom_site_fract_y
_atom_site_fract_z
_atom_site_occupancy
Np1 0.0241 0.1745 0.0000 1
Np2 0.4759 0.6745 0.0000 1
Np3 0.5241 0.3255 0.0000 1
Np4 0.9759 0.8255 0.0000 1
Bi1 0.0000 0.5000 0.5000 1
Bi2 0.5000 0.0000 0.5000 1
S1 0.0000 0.0000 0.5000 1
S2 0.1734 0.3858 0.0000 1
S3 0.1838 0.7026 0.5000 1
S4 0.3162 0.2026 0.5000 1
S5 0.3266 0.8858 0.0000 1
S6 0.5000 0.5000 0.5000 1
S7 0.6734 0.1142 0.0000 1
S8 0.6838 0.7974 0.5000 1
S9 0.8162 0.2974 0.5000 1
S10 0.8266 0.6142 0.0000 1
```